Structure and computed powder diffraction line list of Ho3Tm2Sb2 (a DFT-relaxed cell (GGA-PBE, Alexandria); Cu Kα (λ = 1.5418 Å)).
Kinematic intensities with the Lorentz-polarization factor, no thermal factor.

Structural model:
a b c (Å): 12.027 4.212 8.358
angles (deg): 90.00 108.31 90.00
Space group C2/m (No. 12)
Unique sites:
Ho1 0.000 0.000 0.000 [2 per cell]
Ho2 0.126 0.000 0.445 [4 per cell]
Tm1 0.129 0.500 0.779 [4 per cell]
Sb1 0.176 0.500 0.190 [4 per cell]

Top 10 peaks for 2θ = 10–90°, in order of falling intensity:
Position (°2θ)  d_spacing  I/Imax  index
31.04  2.881  100  3 1 -1
33.71  2.659  80  1 1 2
32.53  2.752  39  2 0 -3
42.94  2.106  33  0 2 0
30.13  2.966  27  1 1 -2
31.68  2.824  24  3 1 0
34.42  2.605  23  3 1 -2
31.34  2.854  22  4 0 0
54.89  1.673  18  2 2 -3
59.82  1.546  17  3 1 -5